For AgRu8, a GGA-PBE-relaxed structure gives the calculated X-ray diffraction stick pattern in this record (Cu Ka).
Peak positions follow from Bragg's law for the DFT cell and can differ from measured ones.

Cell and atoms:
```
AgRu8
1.0
-4.0998 4.0998 1.9178
4.0998 -4.0998 1.9178
4.0998 4.0998 -1.9178
Ag Ru
1 8
Direct
0.0000 0.0000 0.0000 Ag
0.0000 0.3412 0.3412 Ru
0.0000 0.6588 0.6588 Ru
0.3256 0.3256 0.6512 Ru
0.3256 0.6744 0.0000 Ru
0.3412 0.0000 0.3412 Ru
0.6588 0.0000 0.6588 Ru
0.6744 0.3256 0.0000 Ru
0.6744 0.6744 0.3488 Ru
```

Largest 10 diffraction maxima, by angle, 2θ from 15° to 90°:
2theta	I/Imax
30.84	1
40.53	100
47.02	32
47.41	16
66.01	1
68.68	10
68.99	20
82.90	23
83.47	12
87.69	10


For Sn4Pb3Au3, a GGA-PBE-relaxed structure gives the calculated X-ray diffraction stick pattern in this record (Cu Ka).
Peak positions follow from Bragg's law for the DFT cell and can differ from measured ones.

Cell and atoms:
```
Sn4Pb3Au3
1.0
-5.1069 5.1069 5.1069
5.1069 -5.1069 5.1069
5.1069 5.1069 -5.1069
Sn Pb Au
8 6 6
Direct
0.0000 0.1727 0.5000 Sn
0.0000 0.6727 0.5000 Sn
0.1727 0.5000 0.0000 Sn
0.3273 0.3273 0.3273 Sn
0.5000 0.0000 0.1727 Sn
0.5000 0.0000 0.6727 Sn
0.6727 0.5000 0.0000 Sn
0.8273 0.8273 0.8273 Sn
0.1250 0.8750 0.2500 Pb
0.2500 0.1250 0.8750 Pb
0.3750 0.6250 0.7500 Pb
0.6250 0.7500 0.3750 Pb
0.7500 0.3750 0.6250 Pb
0.8750 0.2500 0.1250 Pb
0.1250 0.7500 0.8750 Au
0.2500 0.6250 0.3750 Au
0.3750 0.2500 0.6250 Au
0.6250 0.3750 0.2500 Au
0.7500 0.8750 0.1250 Au
0.8750 0.1250 0.7500 Au
```

Largest 10 diffraction maxima, by angle, 2θ from 15° to 90°:
2theta	I/Imax
21.31	21
24.65	12
32.81	100
39.46	55
43.40	14
48.84	17
63.06	13
65.95	12
67.37	14
87.54	12


For Rb2TcO6, a GGA-PBE-relaxed structure gives the calculated X-ray diffraction stick pattern in this record (Cu Ka).
Peak positions follow from Bragg's law for the DFT cell and can differ from measured ones.

Cell and atoms:
```
Rb2TcO6
1.0
5.8247 0.0000 0.0000
0.0000 5.8247 0.0000
0.0000 0.0000 11.8451
Rb Tc O
4 2 12
Direct
0.0000 0.0000 0.1630 Rb
0.0000 0.0000 0.8370 Rb
0.5000 0.5000 0.3370 Rb
0.5000 0.5000 0.6630 Rb
0.0000 0.0000 0.5000 Tc
0.5000 0.5000 0.0000 Tc
0.1591 0.1591 0.3873 O
0.1591 0.1591 0.6127 O
0.2278 0.7722 0.5000 O
0.2722 0.2722 0.0000 O
0.3409 0.6591 0.1127 O
0.3409 0.6591 0.8873 O
0.6591 0.3409 0.1127 O
0.6591 0.3409 0.8873 O
0.7278 0.7278 0.0000 O
0.7722 0.2278 0.5000 O
0.8409 0.8409 0.3873 O
0.8409 0.8409 0.6127 O
```

Largest 10 diffraction maxima, by angle, 2θ from 15° to 90°:
2theta	I/Imax
21.58	100
27.29	85
30.70	21
41.53	61
43.97	17
49.49	14
51.32	15
52.52	17
62.08	18
69.84	13


For LiCu8Ni4, a GGA-PBE-relaxed structure gives the calculated X-ray diffraction stick pattern in this record (Cu Ka).
Peak positions follow from Bragg's law for the DFT cell and can differ from measured ones.

Cell and atoms:
```
LiCu8Ni4
1.0
2.4303 1.4031 7.8537
-2.4303 1.4031 7.8537
0.0000 -2.8063 7.8537
Li Cu Ni
1 8 4
Direct
0.0000 0.0000 0.0000 Li
0.1840 0.1840 0.1840 Cu
0.2417 0.7482 0.7482 Cu
0.2518 0.2518 0.7583 Cu
0.2518 0.7583 0.2518 Cu
0.7482 0.2417 0.7482 Cu
0.7482 0.7482 0.2417 Cu
0.7583 0.2518 0.2518 Cu
0.8160 0.8160 0.8160 Cu
0.0000 0.5000 0.5000 Ni
0.5000 0.0000 0.5000 Ni
0.5000 0.5000 0.0000 Ni
0.5000 0.5000 0.5000 Ni
```

Largest 10 diffraction maxima, by angle, 2θ from 15° to 90°:
2theta	I/Imax
26.02	23
37.26	29
38.79	45
43.81	33
45.78	100
46.24	36
47.30	19
53.51	39
78.75	27
79.42	24


For LaMgI5, a GGA-PBE-relaxed structure gives the calculated X-ray diffraction stick pattern in this record (Cu Ka).
Peak positions follow from Bragg's law for the DFT cell and can differ from measured ones.

Cell and atoms:
```
LaMgI5
1.0
2.1788 -8.0014 0.0000
2.1788 8.0014 0.0000
0.0000 0.0000 17.4629
La Mg I
2 2 10
Direct
0.0155 0.9845 0.7500 La
0.9845 0.0155 0.2500 La
0.5000 0.5000 0.0000 Mg
0.5000 0.5000 0.5000 Mg
0.1022 0.8978 0.5659 I
0.1022 0.8978 0.9341 I
0.3412 0.6588 0.2500 I
0.4063 0.5937 0.6443 I
0.4063 0.5937 0.8557 I
0.5937 0.4063 0.1443 I
0.5937 0.4063 0.3557 I
0.6588 0.3412 0.7500 I
0.8978 0.1022 0.0659 I
0.8978 0.1022 0.4341 I
```

Largest 10 diffraction maxima, by angle, 2θ from 15° to 90°:
2theta	I/Imax
26.15	59
26.91	62
27.87	100
28.35	70
30.64	51
35.17	28
36.32	34
37.59	41
41.44	33
50.68	37


For Ni4B3, a GGA-PBE-relaxed structure gives the calculated X-ray diffraction stick pattern in this record (Cu Ka).
Peak positions follow from Bragg's law for the DFT cell and can differ from measured ones.

Cell and atoms:
```
Ni4B3
1.0
11.9510 0.0000 0.0000
0.0000 3.0007 0.0000
0.0000 0.0000 6.5809
Ni B
16 12
Direct
0.0500 0.2500 0.2488 Ni
0.1233 0.2500 0.8291 Ni
0.1489 0.7500 0.5062 Ni
0.2001 0.7500 0.1176 Ni
0.2999 0.2500 0.6176 Ni
0.3511 0.2500 0.0062 Ni
0.3767 0.7500 0.3291 Ni
0.4500 0.7500 0.7488 Ni
0.5500 0.2500 0.2512 Ni
0.6233 0.2500 0.6709 Ni
0.6489 0.7500 0.9938 Ni
0.7001 0.7500 0.3824 Ni
0.7999 0.2500 0.8824 Ni
0.8511 0.2500 0.4938 Ni
0.8767 0.7500 0.1709 Ni
0.9500 0.7500 0.7512 Ni
0.0247 0.2500 0.5611 B
0.0387 0.7500 0.0216 B
0.2429 0.2500 0.3149 B
0.2571 0.7500 0.8149 B
0.4613 0.2500 0.5216 B
0.4753 0.7500 0.0611 B
0.5247 0.2500 0.9389 B
0.5387 0.7500 0.4784 B
0.7429 0.2500 0.1851 B
0.7571 0.7500 0.6851 B
0.9613 0.2500 0.9784 B
0.9753 0.7500 0.4389 B
```

Largest 10 diffraction maxima, by angle, 2θ from 15° to 90°:
2theta	I/Imax
36.17	49
40.04	29
42.71	68
43.54	100
46.90	41
47.31	37
47.70	50
50.77	30
51.65	37
61.84	32


For NaHCl2, a GGA-PBE-relaxed structure gives the calculated X-ray diffraction stick pattern in this record (Cu Ka).
Peak positions follow from Bragg's law for the DFT cell and can differ from measured ones.

Cell and atoms:
```
NaHCl2
1.0
5.7867 0.0000 0.0000
0.0000 4.1051 0.0000
-1.3726 0.0000 7.3912
Na H Cl
2 2 4
Direct
0.0000 0.2158 0.0000 Na
0.0000 0.7842 0.5000 Na
0.4990 0.5000 0.2505 H
0.4990 0.5000 0.7505 H
0.2614 0.3071 0.7108 Cl
0.2614 0.6929 0.2108 Cl
0.7349 0.3084 0.2896 Cl
0.7349 0.6916 0.7896 Cl
```

Largest 10 diffraction maxima, by angle, 2θ from 15° to 90°:
2theta	I/Imax
24.08	21
26.25	40
28.20	25
30.61	100
36.16	24
38.60	16
42.81	21
43.29	20
43.55	17
52.54	15